The following is a theoretical PXRD pattern of K3TiCl6. It was derived from a cell relaxed with PBE, using Cu Kα X-rays.

Structure:
abc: 14.8368 6.6135 14.4756
angles: 90.00 112.04 90.00
Space group P2_1/c (No. 14)
One atom of each set of equivalent atoms:
K 0.1245 0.0168 0.1851 (multiplicity 4)
K 0.2424 0.0140 0.9329 (multiplicity 4)
K 0.3545 0.5440 0.1911 (multiplicity 4)
Ti 0.0000 0.0000 0.5000 (multiplicity 2)
Ti 0.5000 0.0000 0.5000 (multiplicity 2)
Cl 0.0616 0.1933 0.9638 (multiplicity 4)
Cl 0.0937 0.6706 0.9190 (multiplicity 4)
Cl 0.1354 0.5189 0.1675 (multiplicity 4)
Cl 0.3168 0.0674 0.1488 (multiplicity 4)
Cl 0.3587 0.6595 0.8896 (multiplicity 4)
Cl 0.4819 0.2434 0.8860 (multiplicity 4)

Largest 10 diffraction maxima, sorted by position, 2θ = 15–90°:
| d (Å) | I/Imax |
| --- | --- |
| 4.913 | 59 |
| 4.163 | 72 |
| 3.791 | 56 |
| 3.669 | 56 |
| 3.583 | 40 |
| 3.211 | 45 |
| 3.009 | 100 |
| 2.458 | 98 |
| 2.431 | 56 |
| 2.267 | 37 |

=====

The following is a theoretical PXRD pattern of KTlCl3. It was derived from a cell relaxed with PBE, using Cu Kα X-rays.

Structure:
abc: 11.2176 11.2176 11.2176
angles: 90.00 90.00 90.00
Space group Fm-3m (No. 225)
One atom of each set of equivalent atoms:
K 0.2500 0.2500 0.2500 (multiplicity 8)
Tl 0.0000 0.0000 0.0000 (multiplicity 4)
Tl 0.0000 0.0000 0.5000 (multiplicity 4)
Cl 0.0000 0.0000 0.2346 (multiplicity 24)

Largest 10 diffraction maxima, sorted by position, 2θ = 15–90°:
| d (Å) | I/Imax |
| --- | --- |
| 5.609 | 100 |
| 3.966 | 98 |
| 2.804 | 58 |
| 2.508 | 53 |
| 2.290 | 46 |
| 1.983 | 40 |
| 1.870 | 28 |
| 1.774 | 23 |
| 1.499 | 26 |
| 1.254 | 17 |

=====

The following is a theoretical PXRD pattern of K2VCl6. It was derived from a cell relaxed with PBE, using Cu Kα X-rays.

Structure:
abc: 9.9382 9.9382 9.9382
angles: 90.00 90.00 90.00
Space group Fm-3m (No. 225)
One atom of each set of equivalent atoms:
K 0.2500 0.2500 0.2500 (multiplicity 8)
V 0.0000 0.0000 0.0000 (multiplicity 4)
Cl 0.0000 0.0000 0.2337 (multiplicity 24)

Largest 10 diffraction maxima, sorted by position, 2θ = 15–90°:
| d (Å) | I/Imax |
| --- | --- |
| 5.738 | 54 |
| 3.514 | 17 |
| 2.996 | 11 |
| 2.869 | 100 |
| 2.485 | 95 |
| 1.913 | 14 |
| 1.757 | 56 |
| 1.498 | 29 |
| 1.434 | 17 |
| 1.111 | 21 |

=====

The following is a theoretical PXRD pattern of KVCl3. It was derived from a cell relaxed with PBE, using Cu Kα X-rays.

Structure:
abc: 6.9969 6.9969 6.2252
angles: 90.00 90.00 120.00
Space group P6_3/mmc (No. 194)
One atom of each set of equivalent atoms:
K 0.3333 0.6667 0.2500 (multiplicity 2)
V 0.0000 0.0000 0.0000 (multiplicity 2)
Cl 0.1599 0.3198 0.7500 (multiplicity 6)

Largest 10 diffraction maxima, sorted by position, 2θ = 15–90°:
| d (Å) | I/Imax |
| --- | --- |
| 3.498 | 19 |
| 3.113 | 15 |
| 2.769 | 14 |
| 2.724 | 100 |
| 2.171 | 46 |
| 1.845 | 14 |
| 1.749 | 27 |
| 1.712 | 20 |
| 1.472 | 11 |
| 1.163 | 13 |

=====

The following is a theoretical PXRD pattern of KW3Cl9. It was derived from a cell relaxed with PBE, using Cu Kα X-rays.

Structure:
abc: 9.5379 9.5379 8.5570
angles: 90.00 90.00 120.00
Space group P-31m (No. 162)
One atom of each set of equivalent atoms:
K 0.3333 0.6667 0.0000 (multiplicity 2)
W 0.0000 0.1795 0.3719 (multiplicity 6)
Cl 0.0000 0.2024 0.8133 (multiplicity 6)
Cl 0.0000 0.3902 0.1960 (multiplicity 6)
Cl 0.2088 0.4176 0.5000 (multiplicity 6)

Largest 10 diffraction maxima, sorted by position, 2θ = 15–90°:
| d (Å) | I/Imax |
| --- | --- |
| 4.166 | 27 |
| 3.122 | 23 |
| 2.522 | 100 |
| 2.213 | 23 |
| 2.106 | 36 |
| 2.083 | 47 |
| 2.071 | 21 |
| 2.020 | 23 |
| 1.765 | 17 |
| 1.652 | 20 |

=====

The following is a theoretical PXRD pattern of K3W2Cl9. It was derived from a cell relaxed with PBE, using Cu Kα X-rays.

Structure:
abc: 7.4333 7.4333 16.3052
angles: 90.00 90.00 120.00
Space group P6_3/m (No. 176)
One atom of each set of equivalent atoms:
K 0.0000 0.0000 0.2500 (multiplicity 2)
K 0.3333 0.6667 0.0711 (multiplicity 4)
W 0.3333 0.6667 0.6771 (multiplicity 4)
Cl 0.0072 0.4391 0.2500 (multiplicity 6)
Cl 0.1214 0.3593 0.5964 (multiplicity 12)

Largest 10 diffraction maxima, sorted by position, 2θ = 15–90°:
| d (Å) | I/Imax |
| --- | --- |
| 3.717 | 100 |
| 3.382 | 45 |
| 2.909 | 54 |
| 2.770 | 56 |
| 2.406 | 71 |
| 2.192 | 64 |
| 2.146 | 41 |
| 1.887 | 45 |
| 1.858 | 42 |
| 1.787 | 41 |